The following is a theoretical XRD peak list of Li3Co4S8. It was derived from a structure optimized by DFT (PBE), using CuKα.
Peak positions follow from Bragg's law for the DFT cell and can differ from measured ones.

Structural model:
abc: 7.367 7.367 7.367
angles: 54.59 54.59 54.59
Fractional positions:
Li  0.000  0.500  0.500
Li  0.500  0.000  0.500
Li  0.500  0.500  0.000
Co  0.353  0.353  0.859
Co  0.353  0.859  0.353
Co  0.858  0.858  0.858
Co  0.859  0.353  0.353
S  0.085  0.085  0.585
S  0.085  0.585  0.085
S  0.127  0.629  0.629
S  0.129  0.129  0.129
S  0.585  0.085  0.085
S  0.588  0.588  0.588
S  0.629  0.127  0.629
S  0.629  0.629  0.127

Principal peaks in the range 2θ = 10–90°, by angle:
2θ (°)  intensity
14.2  100
30.9  18
36.2  51
45.9  26
49.9  13
54.3  19
56.4  14
63.1  10
67.0  7
73.8  6